Structure and simulated powder diffractogram of Li4CrP2O8 (a DFT-relaxed cell (GGA+U, the Materials Project); Cu Kα (weighted mean of Kα1 and Kα2)).
Intensities are scaled so that the largest is 100.

Structural model:
a = 8.4137 Å, b = 10.4024 Å, c = 8.2704 Å
α = 90.00°, β = 105.08°, γ = 90.00°
Element x y z (fractional)
Li 0.0230 0.0728 0.2717
Li 0.0230 0.4272 0.7717
Li 0.0986 0.1645 0.5982
Li 0.0986 0.3355 0.0982
Li 0.1512 0.6641 0.6573
Li 0.1512 0.8359 0.1573
Li 0.3496 0.1487 0.3506
Li 0.3496 0.3513 0.8506
Li 0.6504 0.6487 0.1494
Li 0.6504 0.8513 0.6494
Li 0.8488 0.1641 0.8427
Li 0.8488 0.3359 0.3427
Li 0.9014 0.6645 0.9018
Li 0.9014 0.8355 0.4018
Li 0.9770 0.5728 0.2283
Li 0.9770 0.9272 0.7283
Cr 0.4027 0.6560 0.4121
Cr 0.4027 0.8440 0.9121
Cr 0.5973 0.1560 0.0879
Cr 0.5973 0.3440 0.5879
P 0.2021 0.0932 0.9713
P 0.2021 0.4068 0.4713
P 0.2672 0.5884 0.0335
P 0.2672 0.9116 0.5335
P 0.7328 0.0884 0.4665
P 0.7328 0.4116 0.9665
P 0.7979 0.5932 0.5287
P 0.7979 0.9068 0.0287
O 0.0573 0.1018 0.8111
O 0.0573 0.3982 0.3111
O 0.1230 0.6514 0.0919
O 0.1230 0.8486 0.5919
O 0.1568 0.1513 0.1266
O 0.1568 0.3487 0.6266
O 0.2208 0.0516 0.4767
O 0.2208 0.4484 0.9767
O 0.2440 0.5527 0.5073
O 0.2440 0.9473 0.0073
O 0.2968 0.6669 0.8827
O 0.2968 0.8331 0.3827
O 0.3521 0.1675 0.9393
O 0.3521 0.3325 0.4393
O 0.4305 0.5950 0.1760
O 0.4305 0.9050 0.6760
O 0.5695 0.0950 0.3240
O 0.5695 0.4050 0.8240
O 0.6479 0.6675 0.5607
O 0.6479 0.8325 0.0607
O 0.7032 0.1669 0.6173
O 0.7032 0.3331 0.1173
O 0.7560 0.0527 0.9927
O 0.7560 0.4473 0.4927
O 0.7792 0.5516 0.0233
O 0.7792 0.9484 0.5233
O 0.8432 0.6513 0.3734
O 0.8432 0.8487 0.8734
O 0.8770 0.1514 0.4081
O 0.8770 0.3486 0.9081
O 0.9427 0.6018 0.6889
O 0.9427 0.8982 0.1889

The 6 most intense peaks (2θ from 10° to 90°), most intense first:
21.7°, d = 4.090 Å, intensity 100, (1 2 -1); 22.3°, d = 3.993 Å, intensity 77, (0 0 2); 32.0°, d = 2.793 Å, intensity 61, (2 2 -2); 35.4°, d = 2.537 Å, intensity 59, (2 0 2); 23.5°, d = 3.785 Å, intensity 51, (2 1 0); 34.5°, d = 2.601 Å, intensity 45, (0 4 0)